Structure and theoretical powder X-ray diffraction pattern of Tb2DyAl7Cu2 (a structure optimized by DFT (GGA-PBE); Cu Kα (weighted mean of Kα1 and Kα2)).

Peak list (6 most intense, 2θ = 10–90°, low angle first)
2θ (°)	Rel. int.
19.0	42
21.0	31
31.0	51
32.6	88
33.9	33
39.1	100

Crystal structure
Lattice parameters (Å, degrees): 9.052 9.052 9.052 35.34 35.34 35.34
Fractional coordinates of all 12 atoms:
Tb 0.142 0.142 0.142
Tb 0.858 0.858 0.858
Dy 0.000 0.000 0.000
Al 0.072 0.582 0.582
Al 0.418 0.418 0.928
Al 0.418 0.928 0.418
Al 0.500 0.500 0.500
Al 0.582 0.072 0.582
Al 0.582 0.582 0.072
Al 0.928 0.418 0.418
Cu 0.335 0.335 0.335
Cu 0.665 0.665 0.665


Structure and theoretical powder X-ray diffraction pattern of Dy2YAl7Cu2 (a structure optimized by DFT (GGA-PBE); Cu Kα (weighted mean of Kα1 and Kα2)).

Peak list (6 most intense, 2θ = 10–90°, low angle first)
2θ (°)	Rel. int.
21.0	27
23.4	37
31.0	47
32.7	90
34.0	29
39.1	100

Crystal structure
Lattice parameters (Å, degrees): 9.037 9.037 9.037 35.33 35.33 35.33
Fractional coordinates of all 12 atoms:
Dy 0.142 0.142 0.142
Dy 0.858 0.858 0.858
Y 0.000 0.000 0.000
Al 0.073 0.582 0.582
Al 0.418 0.418 0.927
Al 0.418 0.927 0.418
Al 0.500 0.500 0.500
Al 0.582 0.073 0.582
Al 0.582 0.582 0.073
Al 0.927 0.418 0.418
Cu 0.335 0.335 0.335
Cu 0.665 0.665 0.665


Structure and theoretical powder X-ray diffraction pattern of Dy2YAl3Cu3 (a structure optimized by DFT (GGA-PBE); Cu Kα (weighted mean of Kα1 and Kα2)).

Peak list (6 most intense, 2θ = 10–90°, low angle first)
2θ (°)	Rel. int.
25.4	33
29.4	30
34.0	97
37.1	100
39.2	24
45.3	24

Crystal structure
Lattice parameters (Å, degrees): 4.003 7.025 7.025 120.17 90.00 90.00
Fractional coordinates of all 9 atoms:
Dy 0.000 0.207 0.793
Dy 0.000 0.793 0.207
Y 0.000 0.622 0.622
Al 0.500 0.207 0.444
Al 0.500 0.444 0.207
Al 0.500 0.971 0.971
Cu 0.000 0.206 0.206
Cu 0.500 0.540 0.875
Cu 0.500 0.875 0.540